Entry 1:
This entry pairs a crystal structure of Ti2Tc4W5 with its calculated PXRD pattern. Radiation: Cu Ka. Structure: a crystal structure in Alexandria, relaxed with PBE.
Intensities are scaled so that the largest is 100.

Peak list (8 most intense, 2θ = 10–90°, low angle first)
- 14.88 deg, I = 29
- 22.71 deg, I = 12
- 39.55 deg, I = 100
- 40.04 deg, I = 32
- 41.97 deg, I = 27
- 44.56 deg, I = 22
- 55.39 deg, I = 13
- 86.41 deg, I = 18

Cell: 9.101 9.101 7.927 Å, 90.05 90.05 16.37°
Element x y z (fractional)
Ti 0.118 0.118 0.009
Ti 0.882 0.882 0.991
Tc 0.370 0.370 0.666
Tc 0.500 0.500 0.174
Tc 0.500 0.500 0.826
Tc 0.630 0.630 0.334
W 0.000 0.000 0.500
W 0.248 0.248 0.833
W 0.371 0.371 0.335
W 0.629 0.629 0.665
W 0.752 0.752 0.167

***

Entry 2:
This entry pairs a crystal structure of Ti2Mo6W3 with its calculated PXRD pattern. Radiation: Cu Ka. Structure: a crystal structure in Alexandria, relaxed with PBE.
Intensities are scaled so that the largest is 100.

Peak list (8 most intense, 2θ = 10–90°, low angle first)
- 19.15 deg, I = 21
- 38.36 deg, I = 53
- 38.72 deg, I = 100
- 40.90 deg, I = 21
- 41.65 deg, I = 50
- 43.97 deg, I = 21
- 69.61 deg, I = 17
- 85.85 deg, I = 20

Cell: 14.965 14.965 14.965 Å, 170.06 161.96 20.64°
Element x y z (fractional)
Ti 0.044 0.044 0.000
Ti 0.956 0.956 0.000
Mo 0.134 0.634 0.500
Mo 0.224 0.224 0.000
Mo 0.408 0.908 0.500
Mo 0.592 0.092 0.500
Mo 0.776 0.776 0.000
Mo 0.866 0.366 0.500
W 0.316 0.316 0.000
W 0.500 0.500 0.000
W 0.684 0.684 0.000

***

Entry 3:
This entry pairs a crystal structure of DyErZn3 with its calculated PXRD pattern. Radiation: Cu Ka. Structure: a crystal structure in Alexandria, relaxed with PBE.
Intensities are scaled so that the largest is 100.

Peak list (8 most intense, 2θ = 10–90°, low angle first)
- 24.01 deg, I = 26
- 33.64 deg, I = 100
- 34.37 deg, I = 56
- 39.37 deg, I = 48
- 40.45 deg, I = 30
- 51.00 deg, I = 15
- 54.10 deg, I = 30
- 66.28 deg, I = 20

Cell: 13.452 13.452 4.459 Å, 90.00 90.00 164.70°
Element x y z (fractional)
Dy 0.073 0.927 0.750
Dy 0.927 0.073 0.250
Er 0.210 0.790 0.250
Er 0.790 0.210 0.750
Zn 0.328 0.672 0.250
Zn 0.381 0.619 0.750
Zn 0.477 0.523 0.750
Zn 0.523 0.477 0.250
Zn 0.619 0.381 0.250
Zn 0.672 0.328 0.750

***

Entry 4:
This entry pairs a crystal structure of Er5Ga2Bi2 with its calculated PXRD pattern. Radiation: Cu Ka. Structure: a crystal structure in Alexandria, relaxed with PBE.
Intensities are scaled so that the largest is 100.

Peak list (8 most intense, 2θ = 10–90°, low angle first)
- 30.58 deg, I = 48
- 31.89 deg, I = 59
- 32.34 deg, I = 100
- 33.09 deg, I = 69
- 34.32 deg, I = 61
- 36.26 deg, I = 98
- 57.60 deg, I = 35
- 65.92 deg, I = 35

Cell: 8.684 8.684 7.943 Å, 90.00 90.00 54.34°
Element x y z (fractional)
Er 0.000 0.000 0.000
Er 0.043 0.706 0.668
Er 0.206 0.543 0.168
Er 0.294 0.957 0.668
Er 0.457 0.794 0.168
Er 0.500 0.500 0.500
Er 0.543 0.206 0.832
Er 0.706 0.043 0.332
Er 0.794 0.457 0.832
Er 0.957 0.294 0.332
Ga 0.128 0.872 0.373
Ga 0.372 0.628 0.873
Ga 0.628 0.372 0.127
Ga 0.872 0.128 0.627
Bi 0.208 0.208 0.000
Bi 0.292 0.292 0.500
Bi 0.708 0.708 0.500
Bi 0.792 0.792 0.000

***

Entry 5:
This entry pairs a crystal structure of VPd14Au with its calculated PXRD pattern. Radiation: Cu Ka. Structure: a crystal structure in Alexandria, relaxed with PBE.
Intensities are scaled so that the largest is 100.

Peak list (8 most intense, 2θ = 10–90°, low angle first)
- 39.54 deg, I = 100
- 45.56 deg, I = 33
- 46.81 deg, I = 15
- 66.40 deg, I = 10
- 67.38 deg, I = 20
- 80.12 deg, I = 24
- 81.94 deg, I = 12
- 85.13 deg, I = 11

Cell: 5.632 5.632 7.764 Å, 90.00 90.00 90.00°
Element x y z (fractional)
V 0.000 0.000 0.000
Pd 0.000 0.000 0.500
Pd 0.000 0.500 0.000
Pd 0.000 0.500 0.500
Pd 0.244 0.244 0.245
Pd 0.244 0.244 0.755
Pd 0.244 0.756 0.245
Pd 0.244 0.756 0.755
Pd 0.500 0.000 0.000
Pd 0.500 0.000 0.500
Pd 0.500 0.500 0.500
Pd 0.756 0.244 0.245
Pd 0.756 0.244 0.755
Pd 0.756 0.756 0.245
Pd 0.756 0.756 0.755
Au 0.500 0.500 0.000